# 1
For CaPa2MnN4, a crystal structure in Alexandria, relaxed with GGA-PBE gives the calculated powder diffraction line list in this record (Cu Kα X-rays).
Neutral-atom scattering factors, no anomalous dispersion.

Largest 10 diffraction maxima, in order of falling intensity, 2θ = 10–90°:
| 2theta | d/Å | intensity |
| --- | --- | --- |
| 35.82 | 2.507 | 100.0 |
| 21.65 | 4.105 | 69.9 |
| 30.81 | 2.903 | 60.1 |
| 58.08 | 1.588 | 49.4 |
| 42.24 | 2.139 | 34.5 |
| 44.12 | 2.052 | 32.9 |
| 49.66 | 1.836 | 17.3 |
| 67.39 | 1.390 | 13.8 |
| 28.19 | 3.166 | 13.0 |
| 75.91 | 1.253 | 12.8 |

Cell and atoms:
```
data_CaPa2MnN4
_cell_length_a 5.8051
_cell_length_b 5.8051
_cell_length_c 6.3315
_cell_angle_alpha 90.00
_cell_angle_beta 90.00
_cell_angle_gamma 90.00
_space_group_name_H-M_alt 'I 4/m m m'
_space_group_IT_number 139
_space_group_name_Hall '-I 4 2'
loop_
_atom_site_label
_atom_site_fract_x
_atom_site_fract_y
_atom_site_fract_z
Ca1 0.0000 0.0000 0.0000
Pa1 0.0000 0.5000 0.2500
Mn1 0.0000 0.0000 0.5000
N1 0.2322 0.2322 0.5000
```

=====

# 2
For NaNdPaO4, a crystal structure in Alexandria, relaxed with GGA-PBE gives the calculated powder diffraction line list in this record (Cu Kα X-rays).
Neutral-atom scattering factors, no anomalous dispersion.

Largest 10 diffraction maxima, in order of falling intensity, 2θ = 10–90°:
| 2theta | d/Å | intensity |
| --- | --- | --- |
| 15.29 | 5.796 | 100.0 |
| 29.38 | 3.040 | 47.5 |
| 35.87 | 2.504 | 40.6 |
| 15.11 | 5.862 | 36.4 |
| 30.50 | 2.931 | 36.3 |
| 50.96 | 1.792 | 34.3 |
| 30.86 | 2.898 | 34.2 |
| 29.00 | 3.079 | 33.3 |
| 29.66 | 3.012 | 21.4 |
| 34.97 | 2.566 | 21.0 |

Cell and atoms:
```
data_NaNdPaO4
_cell_length_a 7.0229
_cell_length_b 7.1407
_cell_length_c 10.2636
_cell_angle_alpha 90.00
_cell_angle_beta 90.00
_cell_angle_gamma 90.00
_space_group_name_H-M_alt 'I m m a'
_space_group_IT_number 74
_space_group_name_Hall '-I 2b 2'
loop_
_atom_site_label
_atom_site_fract_x
_atom_site_fract_y
_atom_site_fract_z
Na1 0.0000 0.2500 0.1394
Nd1 0.2500 0.2500 0.7500
Pa1 0.0000 0.0000 0.5000
O1 0.0000 0.0209 0.7135
O2 0.2054 0.2500 0.5141
```

=====

# 3
For HgBi2Pd3, a crystal structure in Alexandria, relaxed with GGA-PBE gives the calculated powder diffraction line list in this record (Cu Kα X-rays).
Neutral-atom scattering factors, no anomalous dispersion.

Largest 10 diffraction maxima, in order of falling intensity, 2θ = 10–90°:
| 2theta | d/Å | intensity |
| --- | --- | --- |
| 30.59 | 2.922 | 100.0 |
| 33.18 | 2.700 | 93.0 |
| 38.19 | 2.357 | 60.9 |
| 38.83 | 2.319 | 60.7 |
| 42.65 | 2.120 | 53.1 |
| 31.30 | 2.857 | 49.0 |
| 44.34 | 2.043 | 43.7 |
| 39.78 | 2.266 | 42.7 |
| 45.78 | 1.982 | 36.7 |
| 63.68 | 1.461 | 31.4 |

Cell and atoms:
```
data_HgBi2Pd3
_cell_length_a 5.8444
_cell_length_b 14.1619
_cell_length_c 12.4921
_cell_angle_alpha 90.00
_cell_angle_beta 90.00
_cell_angle_gamma 90.00
_space_group_name_H-M_alt 'C m c e'
_space_group_IT_number 64
_space_group_name_Hall '-C 2ac 2'
loop_
_atom_site_label
_atom_site_fract_x
_atom_site_fract_y
_atom_site_fract_z
Hg1 0.0000 0.2131 0.2059
Bi1 0.0000 0.0355 0.3537
Bi2 0.0000 0.1622 0.9488
Pd1 0.0000 0.0280 0.1185
Pd2 0.0000 0.1474 0.5434
Pd3 0.2500 0.1157 0.7500
```

=====

# 4
For Cs2Pm2Se5, a crystal structure in Alexandria, relaxed with GGA-PBE gives the calculated powder diffraction line list in this record (Cu Kα X-rays).
Neutral-atom scattering factors, no anomalous dispersion.

Largest 10 diffraction maxima, in order of falling intensity, 2θ = 10–90°:
| 2theta | d/Å | intensity |
| --- | --- | --- |
| 35.21 | 2.549 | 100.0 |
| 29.20 | 3.059 | 68.1 |
| 31.58 | 2.833 | 62.6 |
| 35.00 | 2.564 | 53.1 |
| 23.98 | 3.711 | 52.2 |
| 28.65 | 3.116 | 44.1 |
| 43.15 | 2.096 | 29.5 |
| 31.07 | 2.879 | 29.0 |
| 58.32 | 1.582 | 28.7 |
| 38.83 | 2.319 | 28.1 |

Cell and atoms:
```
data_Cs2Pm2Se5
_cell_length_a 18.0508
_cell_length_b 8.1396
_cell_length_c 8.1448
_cell_angle_alpha 90.00
_cell_angle_beta 90.00
_cell_angle_gamma 90.00
_space_group_name_H-M_alt 'C m c e'
_space_group_IT_number 64
_space_group_name_Hall '-C 2ac 2'
loop_
_atom_site_label
_atom_site_fract_x
_atom_site_fract_y
_atom_site_fract_z
Cs1 0.2017 0.0000 0.0000
Pm1 0.0000 0.1631 0.3368
Se1 0.0000 0.0000 0.0000
Se2 0.1053 0.1323 0.6320
```